(1)
# GaAsPd3
Simulated powder X-ray diffraction pattern, Cu Kα X-rays. Input: a crystal structure in Alexandria, relaxed with GGA-PBE.

Peak list (12 most intense, 5 to 70 degrees two-theta, by angle)
| 2theta | d [Å] | Rel. int. |
| --- | --- | --- |
| 11.81 | 7.496 | 680 |
| 21.61 | 4.112 | 270 |
| 36.02 | 2.493 | 344 |
| 38.33 | 2.348 | 986 |
| 39.35 | 2.290 | 232 |
| 39.64 | 2.274 | 249 |
| 40.24 | 2.241 | 754 |
| 42.33 | 2.135 | 1000 |
| 44.04 | 2.056 | 720 |
| 45.33 | 2.001 | 453 |
| 48.37 | 1.882 | 315 |
| 67.47 | 1.388 | 227 |

Crystal structure
```
data_GaAsPd3
_chemical_formula_sum 'Ga2 As2 Pd6'
_cell_length_a 4.1121
_cell_length_b 7.4959
_cell_length_c 5.7211
_cell_angle_alpha 90.00
_cell_angle_beta 90.00
_cell_angle_gamma 90.00
_symmetry_space_group_name_H-M 'P m c 21'
_symmetry_Int_Tables_number 26
_symmetry_space_group_name_Hall 'P 2c -2'
loop_
_atom_site_label
_atom_site_fract_x
_atom_site_fract_y
_atom_site_fract_z
Ga1 0.0000 0.1466 0.0000
As1 0.5000 0.3648 0.5638
Pd1 0.0000 0.1951 0.4532
Pd2 0.5000 0.0583 0.7504
Pd3 0.5000 0.3116 0.1364
```

=====

(2)
# Sm4Al16Ni3
Simulated powder X-ray diffraction pattern, Cu Kα X-rays. Input: a crystal structure in Alexandria, relaxed with GGA-PBE.

Peak list (12 most intense, 5 to 70 degrees two-theta, by angle)
| 2theta | d [Å] | Rel. int. |
| --- | --- | --- |
| 20.56 | 4.320 | 891 |
| 26.04 | 3.423 | 276 |
| 29.24 | 3.055 | 426 |
| 31.65 | 2.827 | 885 |
| 33.40 | 2.683 | 380 |
| 38.04 | 2.366 | 1000 |
| 40.19 | 2.244 | 215 |
| 41.82 | 2.160 | 691 |
| 47.04 | 1.932 | 218 |
| 53.38 | 1.716 | 462 |
| 59.40 | 1.556 | 264 |
| 60.63 | 1.527 | 221 |

Crystal structure
```
data_Sm4Al16Ni3
_chemical_formula_sum 'Sm4 Al16 Ni3'
_cell_length_a 6.1093
_cell_length_b 6.1093
_cell_length_c 11.2179
_cell_angle_alpha 90.00
_cell_angle_beta 90.00
_cell_angle_gamma 90.00
_symmetry_space_group_name_H-M 'P 4/m m m'
_symmetry_Int_Tables_number 123
_symmetry_space_group_name_Hall '-P 4 2'
loop_
_atom_site_label
_atom_site_fract_x
_atom_site_fract_y
_atom_site_fract_z
Sm1 0.0000 0.5000 0.1918
Al1 0.0000 0.0000 0.1976
Al2 0.2205 0.2205 0.0000
Al3 0.2459 0.2459 0.3828
Al4 0.5000 0.5000 0.2213
Ni1 0.0000 0.5000 0.5000
Ni2 0.5000 0.5000 0.0000
```